# HoNbSnC
Computed X-ray powder pattern, Cu Ka. Input: a DFT-relaxed cell (PBE, OQMD).
Kinematic intensities with the Lorentz-polarization factor, no thermal factor.

Structural model:
```
HoNbSnC
1.0
3.360 0.000 0.000
-1.680 2.909 0.000
0.000 0.000 15.016
Ho Nb Sn C
2 2 2 2
Direct
0.000 0.000 0.176
0.000 0.000 0.824
0.667 0.333 0.348
0.667 0.333 0.652
0.000 0.000 0.500
0.667 0.333 0.000
0.333 0.667 0.272
0.333 0.667 0.728
```

The 8 most intense peaks (10 to 90 degrees two-theta), by intensity:
2θ (°), I (rel.), h k l
35.69, 100, 1 0 3
30.73, 25, 1 0 0
54.64, 21, 1 1 0
35.88, 19, 0 0 6
67.11, 19, 1 1 6
66.99, 16, 2 0 3
47.95, 15, 1 0 6
64.37, 14, 1 0 9

# HoNbSnC
Computed X-ray powder pattern, Cu Ka. Input: a DFT-relaxed cell (PBE, OQMD).
Kinematic intensities with the Lorentz-polarization factor, no thermal factor.

Structural model:
```
HoNbSnC
1.0
3.438 0.000 0.000
-1.719 2.977 0.000
0.000 0.000 14.734
Ho Nb Sn C
2 2 2 2
Direct
0.333 0.667 0.408
0.667 0.333 0.592
0.333 0.667 0.072
0.667 0.333 0.928
0.333 0.667 0.772
0.667 0.333 0.228
0.000 0.000 0.000
0.000 0.000 0.500
```

The 8 most intense peaks (10 to 90 degrees two-theta), by intensity:
2θ (°), I (rel.), h k l
35.25, 100, 0 1 3
53.30, 25, 1 1 0
30.01, 24, 1 0 0
65.52, 17, 2 0 3
66.39, 16, 1 1 6
89.31, 15, 1 2 3
36.59, 15, 0 0 6
48.03, 12, 0 1 6

# Ho9Sb5CO4
Computed X-ray powder pattern, Cu Ka. Input: a DFT-relaxed cell (PBE, OQMD).
Kinematic intensities with the Lorentz-polarization factor, no thermal factor.

Structural model:
```
Ho9Sb5CO4
1.0
9.829 0.000 0.000
0.000 9.829 0.000
0.000 0.000 8.922
Ho Sb C O
18 10 2 8
Direct
0.026 0.330 0.003
0.045 0.855 0.662
0.145 0.545 0.338
0.170 0.026 0.003
0.250 0.250 0.688
0.330 0.474 0.003
0.355 0.955 0.338
0.455 0.645 0.662
0.474 0.170 0.003
0.526 0.830 0.997
0.545 0.355 0.338
0.645 0.045 0.662
0.670 0.526 0.997
0.750 0.750 0.312
0.830 0.974 0.997
0.855 0.455 0.662
0.955 0.145 0.338
0.974 0.670 0.997
0.058 0.847 0.307
0.153 0.558 0.693
0.250 0.250 0.330
0.347 0.942 0.693
0.442 0.653 0.307
0.558 0.347 0.693
0.653 0.058 0.307
0.750 0.750 0.670
0.847 0.442 0.307
0.942 0.153 0.693
0.250 0.250 0.941
0.750 0.750 0.059
0.024 0.872 0.906
0.128 0.524 0.094
0.372 0.976 0.094
0.476 0.628 0.906
0.524 0.372 0.094
0.628 0.024 0.906
0.872 0.476 0.906
0.976 0.128 0.094
```

The 8 most intense peaks (10 to 90 degrees two-theta), by intensity:
2θ (°), I (rel.), h k l
30.45, 100, 3 1 1
35.19, 97, 3 1 2
30.05, 71, 0 0 3
41.07, 62, 2 4 0
51.71, 55, 2 4 3
28.72, 37, 3 1 0
59.76, 26, 3 1 5
68.07, 21, 6 2 3

# HoP3C3
Computed X-ray powder pattern, Cu Ka. Input: a DFT-relaxed cell (PBE, OQMD).
Kinematic intensities with the Lorentz-polarization factor, no thermal factor.

Structural model:
```
HoP3C3
1.0
3.413 0.000 0.000
-1.707 2.956 0.000
0.000 0.000 16.199
Ho P C
2 6 6
Direct
0.000 0.000 0.000
0.000 0.000 0.500
0.333 0.667 0.121
0.333 0.667 0.379
0.333 0.667 0.750
0.667 0.333 0.250
0.667 0.333 0.621
0.667 0.333 0.879
0.333 0.667 0.250
0.333 0.667 0.628
0.333 0.667 0.872
0.667 0.333 0.128
0.667 0.333 0.372
0.667 0.333 0.750
```

The 8 most intense peaks (10 to 90 degrees two-theta), by intensity:
2θ (°), I (rel.), h k l
32.24, 100, 1 0 2
10.92, 84, 0 0 2
37.68, 66, 1 0 4
45.50, 40, 1 0 6
53.71, 27, 1 1 0
72.42, 21, 1 1 8
54.98, 19, 1 1 2
21.95, 18, 0 0 4

# HoPaC2
Computed X-ray powder pattern, Cu Ka. Input: a DFT-relaxed cell (PBE, OQMD).
Kinematic intensities with the Lorentz-polarization factor, no thermal factor.

Structural model:
```
HoPaC2
1.0
5.059 0.000 0.000
0.000 5.059 0.000
0.000 0.000 10.255
Ho Pa C
4 4 8
Direct
0.000 0.250 0.375
0.000 0.750 0.625
0.500 0.250 0.125
0.500 0.750 0.875
0.000 0.250 0.875
0.000 0.750 0.125
0.500 0.250 0.625
0.500 0.750 0.375
0.000 0.250 0.111
0.000 0.250 0.639
0.000 0.750 0.361
0.000 0.750 0.889
0.500 0.250 0.389
0.500 0.250 0.861
0.500 0.750 0.139
0.500 0.750 0.611
```

The 8 most intense peaks (10 to 90 degrees two-theta), by intensity:
2θ (°), I (rel.), h k l
30.47, 100, 1 1 2
35.49, 42, 2 0 0
50.70, 30, 2 0 4
60.63, 30, 3 1 2
35.00, 22, 0 0 4
59.98, 16, 1 1 6
63.41, 15, 2 2 4
51.06, 15, 2 2 0

# TbHoPbC
Computed X-ray powder pattern, Cu Ka. Input: a DFT-relaxed cell (PBE, OQMD).
Kinematic intensities with the Lorentz-polarization factor, no thermal factor.

Structural model:
```
TbHoPbC
1.0
3.638 0.000 0.000
-1.819 3.151 0.000
0.000 0.000 16.169
Tb Ho Pb C
2 2 2 2
Direct
0.333 0.667 0.083
0.667 0.333 0.917
0.333 0.667 0.418
0.667 0.333 0.582
0.333 0.667 0.749
0.667 0.333 0.251
0.000 0.000 0.000
0.000 0.000 0.500
```

The 8 most intense peaks (10 to 90 degrees two-theta), by intensity:
2θ (°), I (rel.), h k l
32.93, 100, 1 0 3
28.32, 22, 1 0 0
61.50, 22, 1 1 6
50.14, 21, 1 1 0
33.25, 21, 0 0 6
59.20, 19, 1 0 9
61.30, 17, 0 2 3
44.23, 16, 0 1 6

# Ho3ScC2S2
Computed X-ray powder pattern, Cu Ka. Input: a DFT-relaxed cell (PBE, OQMD).
Kinematic intensities with the Lorentz-polarization factor, no thermal factor.

Structural model:
```
Ho3ScC2S2
1.0
3.630 0.000 0.000
-1.815 3.143 0.000
0.000 0.000 12.615
Ho Sc C S
3 1 2 2
Direct
0.000 0.000 0.000
0.000 0.000 0.298
0.333 0.667 0.787
0.333 0.667 0.500
0.667 0.333 0.403
0.667 0.333 0.893
0.000 0.000 0.636
0.333 0.667 0.149
```

The 8 most intense peaks (10 to 90 degrees two-theta), by intensity:
2θ (°), I (rel.), h k l
35.66, 100, 0 1 3
28.36, 50, 0 0 4
29.28, 40, 1 0 1
50.28, 29, 1 1 0
63.15, 20, 2 0 3
58.71, 19, 1 1 4
84.80, 16, 1 2 3
59.09, 15, 0 1 7

# HoTmCS
Computed X-ray powder pattern, Cu Ka. Input: a DFT-relaxed cell (PBE, OQMD).
Kinematic intensities with the Lorentz-polarization factor, no thermal factor.

Structural model:
```
HoTmCS
1.0
3.664 0.000 0.000
-1.832 3.173 0.000
0.000 0.000 12.752
Ho Tm C S
2 2 2 2
Direct
0.000 0.000 0.147
0.000 0.000 0.853
0.667 0.333 0.354
0.667 0.333 0.646
0.333 0.667 0.251
0.333 0.667 0.749
0.000 0.000 0.500
0.667 0.333 0.000
```

The 8 most intense peaks (10 to 90 degrees two-theta), by intensity:
2θ (°), I (rel.), h k l
35.30, 100, 1 0 3
29.00, 40, 1 0 1
28.12, 31, 1 0 0
49.77, 30, 1 1 0
58.08, 21, 1 1 4
27.99, 20, 0 0 4
62.48, 19, 2 0 3
58.41, 18, 1 0 7